Computed X-ray powder pattern
Compound: AgSbPbS3
Radiation: Cu Kα, 1.54184 Å
Structure: a structure optimized by DFT (GGA-PBE)
Intensities are scaled so that the largest is 100.

Structure:
Lattice parameters (Å, degrees): 5.823 12.166 8.269 90.00 91.71 90.00
Fractional positions:
Ag 0.227 0.079 0.128
Ag 0.227 0.421 0.628
Ag 0.773 0.579 0.372
Ag 0.773 0.921 0.872
Sb 0.261 0.748 0.114
Sb 0.261 0.752 0.614
Sb 0.739 0.248 0.386
Sb 0.739 0.252 0.886
Pb 0.261 0.082 0.647
Pb 0.261 0.418 0.147
Pb 0.739 0.582 0.853
Pb 0.739 0.918 0.353
S 0.234 0.595 0.899
S 0.234 0.905 0.399
S 0.244 0.588 0.430
S 0.244 0.912 0.930
S 0.300 0.221 0.358
S 0.300 0.279 0.858
S 0.700 0.721 0.142
S 0.700 0.779 0.642
S 0.756 0.088 0.070
S 0.756 0.412 0.570
S 0.766 0.095 0.601
S 0.766 0.405 0.101

Main lines, by angle (2θ = 10–80°):
| d/Å | I_rel | index |
| --- | --- | --- |
| 3.418 | 34 | 1 0 -2 |
| 3.326 | 92 | 1 3 0 |
| 2.911 | 54 | 2 0 0 |
| 2.895 | 100 | 0 3 2 |
| 2.074 | 36 | 2 3 -2 |
| 2.066 | 16 | 0 0 4 |
| 2.030 | 54 | 0 6 0 |
| 1.769 | 11 | 1 3 -4 |
| 1.743 | 21 | 1 6 -2 |
| 1.664 | 18 | 2 6 0 |